Entry 1:
The following is a computed XRD peak list of Mn3Ni3Sn2. It was derived from a crystal structure in the Materials Project, relaxed with GGA-PBE, using λ = 1.5418 Å (Cu Kα).
Neutral-atom scattering factors, no anomalous dispersion.

Top 12 peaks for 2θ = 10–80°, sorted by position:
d = 3.517 Å, I = 11
d = 3.046 Å, I = 4
d = 2.341 Å, I = 1
d = 2.154 Å, I = 100
d = 1.837 Å, I = 5
d = 1.834 Å, I = 1
d = 1.586 Å, I = 1
d = 1.523 Å, I = 16
d = 1.399 Å, I = 1
d = 1.363 Å, I = 1
d = 1.244 Å, I = 24
d = 1.241 Å, I = 7

Atomic structure:
a b c (Å): 7.448 7.448 7.448
angles (deg): 33.65 33.65 33.65
Fractional positions:
Mn 0.000 0.000 0.000
Mn 0.128 0.128 0.128
Mn 0.503 0.503 0.503
Ni 0.380 0.380 0.380
Ni 0.623 0.623 0.623
Ni 0.873 0.873 0.873
Sn 0.255 0.255 0.255
Sn 0.747 0.747 0.747

Entry 2:
The following is a computed XRD peak list of MnNi2Sn. It was derived from a crystal structure in the Materials Project, relaxed with GGA-PBE, using λ = 1.5418 Å (Cu Kα).
Neutral-atom scattering factors, no anomalous dispersion.

Top 9 peaks for 2θ = 10–80°, sorted by position:
d = 3.493 Å, I = 11
d = 3.025 Å, I = 3
d = 2.139 Å, I = 100
d = 1.824 Å, I = 6
d = 1.746 Å, I = 1
d = 1.512 Å, I = 16
d = 1.388 Å, I = 3
d = 1.353 Å, I = 1
d = 1.235 Å, I = 32

Atomic structure:
a b c (Å): 6.050 6.050 6.050
angles (deg): 90.00 90.00 90.00
Fractional positions:
Mn 0.000 0.000 0.000
Mn 0.000 0.500 0.500
Mn 0.500 0.000 0.500
Mn 0.500 0.500 0.000
Ni 0.250 0.250 0.250
Ni 0.250 0.250 0.750
Ni 0.250 0.750 0.250
Ni 0.250 0.750 0.750
Ni 0.750 0.250 0.250
Ni 0.750 0.250 0.750
Ni 0.750 0.750 0.250
Ni 0.750 0.750 0.750
Sn 0.000 0.000 0.500
Sn 0.000 0.500 0.000
Sn 0.500 0.000 0.000
Sn 0.500 0.500 0.500

Entry 3:
The following is a computed XRD peak list of MnVNi4Sn2. It was derived from a crystal structure in the Materials Project, relaxed with GGA-PBE, using λ = 1.5418 Å (Cu Kα).
Neutral-atom scattering factors, no anomalous dispersion.

Top 11 peaks for 2θ = 10–80°, sorted by position:
d = 3.503 Å, I = 12
d = 3.034 Å, I = 3
d = 2.145 Å, I = 100
d = 1.829 Å, I = 7
d = 1.752 Å, I = 1
d = 1.517 Å, I = 16
d = 1.392 Å, I = 2
d = 1.391 Å, I = 1
d = 1.357 Å, I = 1
d = 1.239 Å, I = 24
d = 1.237 Å, I = 8

Atomic structure:
a b c (Å): 7.424 7.424 7.424
angles (deg): 33.61 33.61 33.61
Fractional positions:
Mn 0.000 0.000 0.000
V 0.500 0.500 0.500
Ni 0.125 0.125 0.125
Ni 0.375 0.375 0.375
Ni 0.625 0.625 0.625
Ni 0.875 0.875 0.875
Sn 0.250 0.250 0.250
Sn 0.750 0.750 0.750

Entry 4:
The following is a computed XRD peak list of MnNiTe2. It was derived from a crystal structure in the Materials Project, relaxed with GGA-PBE, using λ = 1.5418 Å (Cu Kα).
Neutral-atom scattering factors, no anomalous dispersion.

Top 12 peaks for 2θ = 10–80°, sorted by position:
d = 5.766 Å, I = 2
d = 2.981 Å, I = 100
d = 2.883 Å, I = 5
d = 2.221 Å, I = 58
d = 2.011 Å, I = 48
d = 1.683 Å, I = 18
d = 1.667 Å, I = 18
d = 1.649 Å, I = 6
d = 1.490 Å, I = 16
d = 1.441 Å, I = 5
d = 1.290 Å, I = 7
d = 1.283 Å, I = 15

Atomic structure:
a b c (Å): 4.021 4.021 5.766
angles (deg): 90.00 90.00 120.00
Fractional positions:
Mn 0.000 0.000 0.000
Ni 0.000 0.000 0.500
Te 0.333 0.667 0.268
Te 0.667 0.333 0.732

Entry 5:
The following is a computed XRD peak list of ThMn3Ni2. It was derived from a crystal structure in the Materials Project, relaxed with GGA-PBE, using λ = 1.5418 Å (Cu Kα).
Neutral-atom scattering factors, no anomalous dispersion.

Top 12 peaks for 2θ = 10–80°, sorted by position:
d = 4.345 Å, I = 18
d = 4.137 Å, I = 18
d = 2.996 Å, I = 69
d = 2.508 Å, I = 42
d = 2.172 Å, I = 33
d = 2.145 Å, I = 100
d = 2.069 Å, I = 24
d = 1.596 Å, I = 21
d = 1.526 Å, I = 19
d = 1.498 Å, I = 20
d = 1.367 Å, I = 23
d = 1.208 Å, I = 15

Atomic structure:
a b c (Å): 5.017 5.017 4.137
angles (deg): 90.00 90.00 120.00
Fractional positions:
Th 0.000 0.000 0.000
Mn 0.000 0.500 0.500
Mn 0.500 0.000 0.500
Mn 0.500 0.500 0.500
Ni 0.333 0.667 0.000
Ni 0.667 0.333 0.000

Entry 6:
The following is a computed XRD peak list of Ti2MnNi. It was derived from a crystal structure in the Materials Project, relaxed with GGA-PBE, using λ = 1.5418 Å (Cu Kα).
Neutral-atom scattering factors, no anomalous dispersion.

Top 6 peaks for 2θ = 10–80°, sorted by position:
d = 2.979 Å, I = 2
d = 2.106 Å, I = 100
d = 1.720 Å, I = 1
d = 1.489 Å, I = 15
d = 1.332 Å, I = 1
d = 1.216 Å, I = 29

Atomic structure:
a b c (Å): 5.957 5.957 5.957
angles (deg): 90.00 90.00 90.00
Fractional positions:
Ti 0.250 0.250 0.250
Ti 0.250 0.250 0.750
Ti 0.250 0.750 0.250
Ti 0.250 0.750 0.750
Ti 0.750 0.250 0.250
Ti 0.750 0.250 0.750
Ti 0.750 0.750 0.250
Ti 0.750 0.750 0.750
Mn 0.000 0.000 0.000
Mn 0.000 0.500 0.500
Mn 0.500 0.000 0.500
Mn 0.500 0.500 0.000
Ni 0.000 0.000 0.500
Ni 0.000 0.500 0.000
Ni 0.500 0.000 0.000
Ni 0.500 0.500 0.500

Entry 7:
The following is a computed XRD peak list of MnVNi. It was derived from a crystal structure in the Materials Project, relaxed with GGA-PBE, using λ = 1.5418 Å (Cu Kα).
Neutral-atom scattering factors, no anomalous dispersion.

Top 8 peaks for 2θ = 10–80°, sorted by position:
d = 3.160 Å, I = 33
d = 2.737 Å, I = 18
d = 1.935 Å, I = 100
d = 1.650 Å, I = 13
d = 1.580 Å, I = 4
d = 1.368 Å, I = 14
d = 1.256 Å, I = 5
d = 1.224 Å, I = 5

Atomic structure:
a b c (Å): 5.474 5.474 5.474
angles (deg): 90.00 90.00 90.00
Fractional positions:
Mn 0.000 0.000 0.000
Mn 0.000 0.500 0.500
Mn 0.500 0.000 0.500
Mn 0.500 0.500 0.000
V 0.250 0.250 0.250
V 0.250 0.750 0.750
V 0.750 0.250 0.750
V 0.750 0.750 0.250
Ni 0.250 0.250 0.750
Ni 0.250 0.750 0.250
Ni 0.750 0.250 0.250
Ni 0.750 0.750 0.750

Entry 8:
The following is a computed XRD peak list of YMnNi4. It was derived from a crystal structure in the Materials Project, relaxed with GGA-PBE, using λ = 1.5418 Å (Cu Kα).
Neutral-atom scattering factors, no anomalous dispersion.

Top 11 peaks for 2θ = 10–80°, sorted by position:
d = 4.010 Å, I = 4
d = 3.472 Å, I = 3
d = 2.455 Å, I = 31
d = 2.094 Å, I = 100
d = 2.005 Å, I = 36
d = 1.736 Å, I = 3
d = 1.593 Å, I = 1
d = 1.553 Å, I = 1
d = 1.418 Å, I = 10
d = 1.337 Å, I = 28
d = 1.228 Å, I = 23

Atomic structure:
a b c (Å): 4.911 4.911 4.911
angles (deg): 60.00 60.00 60.00
Fractional positions:
Y 0.000 0.000 0.000
Mn 0.250 0.250 0.250
Ni 0.127 0.624 0.624
Ni 0.624 0.127 0.624
Ni 0.624 0.624 0.127
Ni 0.624 0.624 0.624

Entry 9:
The following is a computed XRD peak list of NpMn2Si2. It was derived from a crystal structure in the Materials Project, relaxed with GGA-PBE, using λ = 1.5418 Å (Cu Kα).
Neutral-atom scattering factors, no anomalous dispersion.

Top 12 peaks for 2θ = 10–80°, sorted by position:
d = 3.667 Å, I = 84
d = 2.787 Å, I = 19
d = 2.544 Å, I = 67
d = 2.499 Å, I = 18
d = 2.434 Å, I = 100
d = 1.971 Å, I = 35
d = 1.783 Å, I = 25
d = 1.736 Å, I = 23
d = 1.558 Å, I = 31
d = 1.430 Å, I = 17
d = 1.322 Å, I = 19
d = 1.209 Å, I = 21

Atomic structure:
a b c (Å): 3.941 3.941 9.996
angles (deg): 90.00 90.00 90.00
Fractional positions:
Np 0.000 0.000 0.000
Np 0.500 0.500 0.500
Mn 0.000 0.500 0.250
Mn 0.000 0.500 0.750
Mn 0.500 0.000 0.250
Mn 0.500 0.000 0.750
Si 0.000 0.000 0.380
Si 0.000 0.000 0.620
Si 0.500 0.500 0.120
Si 0.500 0.500 0.880

Entry 10:
The following is a computed XRD peak list of MnOs3. It was derived from a crystal structure in the Materials Project, relaxed with GGA-PBE, using λ = 1.5418 Å (Cu Kα).
Neutral-atom scattering factors, no anomalous dispersion.

Top 12 peaks for 2θ = 10–80°, sorted by position:
d = 4.693 Å, I = 4
d = 3.156 Å, I = 17
d = 2.709 Å, I = 6
d = 2.346 Å, I = 25
d = 2.133 Å, I = 25
d = 2.056 Å, I = 100
d = 1.676 Å, I = 3
d = 1.638 Å, I = 3
d = 1.578 Å, I = 14
d = 1.355 Å, I = 17
d = 1.245 Å, I = 2
d = 1.216 Å, I = 18

Atomic structure:
a b c (Å): 5.419 5.419 4.266
angles (deg): 90.00 90.00 120.00
Fractional positions:
Mn 0.333 0.667 0.250
Mn 0.667 0.333 0.750
Os 0.171 0.341 0.750
Os 0.171 0.829 0.750
Os 0.341 0.171 0.250
Os 0.659 0.829 0.750
Os 0.829 0.171 0.250
Os 0.829 0.659 0.250

Entry 11:
The following is a computed XRD peak list of MnTcOs. It was derived from a crystal structure in the Materials Project, relaxed with GGA-PBE, using λ = 1.5418 Å (Cu Kα).
Neutral-atom scattering factors, no anomalous dispersion.

Top 8 peaks for 2θ = 10–80°, sorted by position:
d = 3.372 Å, I = 59
d = 2.921 Å, I = 23
d = 2.065 Å, I = 100
d = 1.761 Å, I = 29
d = 1.686 Å, I = 6
d = 1.460 Å, I = 16
d = 1.340 Å, I = 12
d = 1.306 Å, I = 8

Atomic structure:
a b c (Å): 5.841 5.841 5.841
angles (deg): 90.00 90.00 90.00
Fractional positions:
Mn 0.000 0.000 0.000
Mn 0.000 0.500 0.500
Mn 0.500 0.000 0.500
Mn 0.500 0.500 0.000
Tc 0.250 0.250 0.250
Tc 0.250 0.750 0.750
Tc 0.750 0.250 0.750
Tc 0.750 0.750 0.250
Os 0.000 0.000 0.500
Os 0.000 0.500 0.000
Os 0.500 0.000 0.000
Os 0.500 0.500 0.500

Entry 12:
The following is a computed XRD peak list of MnV2Os. It was derived from a crystal structure in the Materials Project, relaxed with GGA-PBE, using λ = 1.5418 Å (Cu Kα).
Neutral-atom scattering factors, no anomalous dispersion.

Top 9 peaks for 2θ = 10–80°, sorted by position:
d = 3.415 Å, I = 36
d = 2.958 Å, I = 23
d = 2.091 Å, I = 100
d = 1.783 Å, I = 19
d = 1.708 Å, I = 7
d = 1.479 Å, I = 16
d = 1.357 Å, I = 8
d = 1.323 Å, I = 9
d = 1.207 Å, I = 32

Atomic structure:
a b c (Å): 5.915 5.915 5.915
angles (deg): 90.00 90.00 90.00
Fractional positions:
Mn 0.000 0.000 0.000
Mn 0.000 0.500 0.500
Mn 0.500 0.000 0.500
Mn 0.500 0.500 0.000
V 0.250 0.250 0.250
V 0.250 0.250 0.750
V 0.250 0.750 0.250
V 0.250 0.750 0.750
V 0.750 0.250 0.250
V 0.750 0.250 0.750
V 0.750 0.750 0.250
V 0.750 0.750 0.750
Os 0.000 0.000 0.500
Os 0.000 0.500 0.000
Os 0.500 0.000 0.000
Os 0.500 0.500 0.500

Entry 13:
The following is a computed XRD peak list of Mn3P. It was derived from a crystal structure in the Materials Project, relaxed with GGA-PBE, using λ = 1.5418 Å (Cu Kα).
Neutral-atom scattering factors, no anomalous dispersion.

Top 12 peaks for 2θ = 10–80°, sorted by position:
d = 2.476 Å, I = 15
d = 2.166 Å, I = 100
d = 2.107 Å, I = 31
d = 2.098 Å, I = 52
d = 1.999 Å, I = 34
d = 1.991 Å, I = 12
d = 1.949 Å, I = 85
d = 1.819 Å, I = 27
d = 1.754 Å, I = 26
d = 1.748 Å, I = 31
d = 1.273 Å, I = 11
d = 1.224 Å, I = 11

Atomic structure:
a b c (Å): 6.702 6.702 6.702
angles (deg): 96.32 96.32 141.23
Fractional positions:
Mn 0.075 0.552 0.689
Mn 0.119 0.234 0.826
Mn 0.166 0.274 0.453
Mn 0.287 0.834 0.107
Mn 0.408 0.293 0.174
Mn 0.448 0.138 0.523
Mn 0.615 0.925 0.477
Mn 0.707 0.881 0.115
Mn 0.726 0.180 0.893
Mn 0.766 0.592 0.885
Mn 0.820 0.713 0.547
Mn 0.862 0.385 0.311
P 0.202 0.451 0.169
P 0.283 0.033 0.831
P 0.549 0.717 0.750
P 0.967 0.798 0.250

Entry 14:
The following is a computed XRD peak list of MnP. It was derived from a crystal structure in the Materials Project, relaxed with GGA-PBE, using λ = 1.5418 Å (Cu Kα).
Neutral-atom scattering factors, no anomalous dispersion.

Top 12 peaks for 2θ = 10–80°, sorted by position:
d = 2.925 Å, I = 14
d = 2.776 Å, I = 69
d = 2.596 Å, I = 21
d = 2.548 Å, I = 17
d = 2.448 Å, I = 37
d = 1.982 Å, I = 60
d = 1.941 Å, I = 46
d = 1.896 Å, I = 100
d = 1.825 Å, I = 30
d = 1.659 Å, I = 45
d = 1.577 Å, I = 26
d = 1.224 Å, I = 18

Atomic structure:
a b c (Å): 5.191 3.154 5.850
angles (deg): 90.00 90.00 90.00
Fractional positions:
Mn 0.004 0.250 0.196
Mn 0.496 0.750 0.696
Mn 0.504 0.250 0.304
Mn 0.996 0.750 0.804
P 0.187 0.250 0.569
P 0.313 0.750 0.069
P 0.687 0.250 0.931
P 0.813 0.750 0.431

Entry 15:
The following is a computed XRD peak list of MnP. It was derived from a crystal structure in the Materials Project, relaxed with GGA-PBE, using λ = 1.5418 Å (Cu Kα).
Neutral-atom scattering factors, no anomalous dispersion.

Top 12 peaks for 2θ = 10–80°, sorted by position:
d = 2.892 Å, I = 53
d = 2.685 Å, I = 6
d = 2.546 Å, I = 31
d = 1.968 Å, I = 100
d = 1.670 Å, I = 42
d = 1.522 Å, I = 6
d = 1.446 Å, I = 5
d = 1.418 Å, I = 4
d = 1.396 Å, I = 4
d = 1.342 Å, I = 6
d = 1.273 Å, I = 21
d = 1.218 Å, I = 6

Atomic structure:
a b c (Å): 3.339 3.339 5.369
angles (deg): 90.00 90.00 120.00
Fractional positions:
Mn 0.000 0.000 0.000
Mn 0.000 0.000 0.500
P 0.333 0.667 0.250
P 0.667 0.333 0.750

Entry 16:
The following is a computed XRD peak list of MnP. It was derived from a crystal structure in the Materials Project, relaxed with GGA-PBE, using λ = 1.5418 Å (Cu Kα).
Neutral-atom scattering factors, no anomalous dispersion.

Top 7 peaks for 2θ = 10–80°, sorted by position:
d = 3.035 Å, I = 100
d = 2.629 Å, I = 8
d = 1.859 Å, I = 60
d = 1.585 Å, I = 37
d = 1.518 Å, I = 2
d = 1.314 Å, I = 9
d = 1.206 Å, I = 14

Atomic structure:
a b c (Å): 5.257 5.257 5.257
angles (deg): 90.00 90.00 90.00
Fractional positions:
Mn 0.000 0.000 0.000
Mn 0.000 0.500 0.500
Mn 0.500 0.000 0.500
Mn 0.500 0.500 0.000
P 0.250 0.250 0.750
P 0.250 0.750 0.250
P 0.750 0.250 0.250
P 0.750 0.750 0.750